# Ba2MgI2O2
Computed powder XRD pattern, Cu Kα, 1.54184 Å. Input: a cell relaxed with PBE.
Peak positions follow from Bragg's law for the DFT cell and can differ from measured ones.

Structure:
```
data_Ba2MgI2O2
_chemical_formula_sum 'Ba4 Mg2 I4 O4'
_symmetry_space_group_name_H-M 'P 1'
_symmetry_Int_Tables_number 1
_cell_length_a 4.339
_cell_length_b 4.339
_cell_length_c 21.245
_cell_angle_alpha 90.00
_cell_angle_beta 90.00
_cell_angle_gamma 90.00
loop_
_symmetry_equiv_pos_as_xyz
'x,y,z'
loop_
_atom_site_label
_atom_site_type_symbol
_atom_site_fract_x
_atom_site_fract_y
_atom_site_fract_z
Ba1 Ba 0.000 0.000 0.083
Ba2 Ba 0.000 0.000 0.917
Ba3 Ba 0.500 0.500 0.417
Ba4 Ba 0.500 0.500 0.583
Mg1 Mg 0.000 0.000 0.500
Mg2 Mg 0.500 0.500 0.000
I1 I 0.000 0.000 0.337
I2 I 0.000 0.000 0.663
I3 I 0.500 0.500 0.163
I4 I 0.500 0.500 0.837
O1 O 0.000 0.500 0.000
O2 O 0.000 0.500 0.500
O3 O 0.500 0.000 0.000
O4 O 0.500 0.000 0.500
```

The 10 most intense peaks (10° ≤ 2θ ≤ 90°), by angle:
| 2θ/deg | I/Imax | index |
| --- | --- | --- |
| 24.1 | 65 | 1 0 3 |
| 29.1 | 100 | 1 1 0 |
| 29.4 | 95 | 1 0 5 |
| 33.7 | 45 | 1 1 4 |
| 36.1 | 75 | 1 0 7 |
| 41.6 | 48 | 2 0 0 |
| 51.8 | 41 | 2 1 5 |
| 56.3 | 41 | 2 1 7 |
| 60.4 | 40 | 2 2 0 |
| 68.4 | 38 | 2 0 12 |